Record 1
Starting from the PBE geometry in Alexandria, the X-ray diffraction stick pattern of TmTh3P4 was calculated for Cu Kα (weighted mean of Kα1 and Kα2).
Kinematic intensities with the Lorentz-polarization factor, no thermal factor.

Atomic structure:
```
TmTh3P4
1.0
7.094 0.000 0.000
0.000 8.182 0.000
-2.351 0.000 6.706
Tm Th P
2 6 8
Cartesian
-0.588 1.011 1.676
-1.763 7.171 5.029
-1.763 3.056 5.029
-0.588 5.125 1.676
1.784 1.016 5.029
2.959 3.058 1.676
1.784 5.124 5.029
2.959 7.166 1.676
1.715 0.985 0.004
0.540 7.197 3.357
0.581 3.031 3.320
-0.594 5.151 6.673
5.338 3.031 0.033
4.162 5.151 3.386
4.204 0.985 3.349
3.028 7.197 6.702
```

The 6 most intense peaks (2θ from 5° to 70°), in order of rising 2θ:
2θ (°)  d (Å)  intensity
26.64  3.346  100.0
30.86  2.897  95.7
44.16  2.051  36.0
44.26  2.047  35.7
52.30  1.749  21.2
52.41  1.746  29.5

---

Record 2
Starting from the PBE geometry in Alexandria, the X-ray diffraction stick pattern of TmTh4P6 was calculated for Cu Kα (weighted mean of Kα1 and Kα2).
Kinematic intensities with the Lorentz-polarization factor, no thermal factor.

Atomic structure:
```
TmTh4P6
1.0
5.660 3.268 4.665
-5.660 3.268 4.665
0.000 -6.535 4.665
Tm Th P
2 8 12
Cartesian
0.000 0.000 0.000
0.000 0.000 6.998
-3.507 0.461 5.832
0.000 0.000 3.499
-2.153 -2.806 8.164
1.354 -3.268 5.832
-1.354 3.268 8.164
2.153 2.806 5.832
0.000 0.000 10.497
3.507 -0.461 8.164
-4.819 -1.255 7.754
-1.323 -4.800 6.242
-1.323 -1.735 5.421
-3.496 3.546 6.242
-0.841 2.013 5.421
-2.164 0.278 8.575
2.164 -0.278 5.421
0.841 -2.013 8.575
3.496 -3.546 7.754
1.323 1.735 8.575
1.323 4.800 7.754
4.819 1.255 6.242
```

The 6 most intense peaks (2θ from 5° to 70°), in order of rising 2θ:
2θ (°)  d (Å)  intensity
24.73  3.600  75.9
27.29  3.268  100.0
31.41  2.848  42.7
35.28  2.544  31.2
37.16  2.420  34.5
48.10  1.892  33.9

---

Record 3
Starting from the PBE geometry in Alexandria, the X-ray diffraction stick pattern of Tm4ThP5 was calculated for Cu Kα (weighted mean of Kα1 and Kα2).
Kinematic intensities with the Lorentz-polarization factor, no thermal factor.

Atomic structure:
```
Tm4ThP5
1.0
-1.997 2.830 9.966
1.997 -2.830 9.966
1.997 2.830 -9.966
Tm Th P
4 1 5
Cartesian
0.000 0.000 2.048
0.000 0.000 5.916
0.000 0.000 14.015
0.000 0.000 17.883
0.000 0.000 9.966
1.997 0.000 0.000
1.997 0.000 3.980
1.997 0.000 7.890
0.000 2.830 2.075
0.000 2.830 5.986
```

The 6 most intense peaks (2θ from 5° to 70°), in order of rising 2θ:
2θ (°)  d (Å)  intensity
27.35  3.261  95.0
31.68  2.824  100.0
45.40  1.998  61.3
53.79  1.704  31.1
53.90  1.701  15.1
56.43  1.631  25.6

---

Record 4
Starting from the PBE geometry in Alexandria, the X-ray diffraction stick pattern of Th2UP3 was calculated for Cu Kα (weighted mean of Kα1 and Kα2).
Kinematic intensities with the Lorentz-polarization factor, no thermal factor.

Atomic structure:
```
Th2UP3
1.0
4.088 0.000 0.000
0.000 4.088 0.000
0.000 0.000 17.309
Th U P
4 2 6
Cartesian
0.000 0.000 2.883
0.000 0.000 14.426
2.044 2.044 5.771
2.044 2.044 11.537
0.000 0.000 8.654
2.044 2.044 0.000
0.000 0.000 0.000
0.000 0.000 5.838
0.000 0.000 11.471
2.044 2.044 2.817
2.044 2.044 8.654
2.044 2.044 14.492
```

The 6 most intense peaks (2θ from 5° to 70°), in order of rising 2θ:
2θ (°)  d (Å)  intensity
26.73  3.335  100.0
30.96  2.889  92.0
44.35  2.042  69.1
52.54  1.742  50.9
55.07  1.668  24.6
64.48  1.445  7.7